# Pm2CoTcGe6
Computed X-ray powder pattern, copper Kα. Input: a PBE-relaxed structure.
Lines closer than 0.1° are merged.

Principal peaks in the range 2θ = 5–70°, low angle first:
- 3.644 Å, I = 70
- 3.365 Å, I = 22
- 3.078 Å, I = 20
- 2.867 Å, I = 27
- 2.746 Å, I = 100
- 2.472 Å, I = 88
- 2.338 Å, I = 30
- 2.320 Å, I = 16
- 2.088 Å, I = 29
- 1.822 Å, I = 83
- 1.467 Å, I = 17
- 1.433 Å, I = 20

Atomic structure:
```
20
Lattice="3.644 2.104 9.280 -3.644 2.104 9.280 0.000 -4.208 9.280" Properties=species:S:1:pos:R:3 pbc="T T T"
Pm 0.000 0.000 3.764
Pm 0.000 0.000 8.163
Pm 0.000 0.000 19.677
Pm 0.000 0.000 24.076
Co 0.000 0.000 11.044
Co 0.000 0.000 16.796
Tc 0.000 0.000 0.000
Tc 0.000 0.000 13.920
Ge -1.767 -1.020 12.478
Ge 0.000 -2.221 10.719
Ge -1.923 1.110 10.719
Ge -1.923 -1.110 17.121
Ge 0.000 -2.040 15.362
Ge -1.767 1.020 15.362
Ge 1.767 -1.020 12.478
Ge 0.000 2.040 12.478
Ge 1.923 1.110 10.719
Ge 1.923 -1.110 17.121
Ge 0.000 2.221 17.121
Ge 1.767 1.020 15.362
```